1.
# Li2CrSi2O6
Simulated powder diffractogram, Cu Kα (λ = 1.5418 Å). Input: a DFT-relaxed cell (GGA+U, the Materials Project).
Intensities are scaled so that the largest is 100.

Main lines, in order of falling intensity (10 to 80 degrees two-theta):
d 4.082, intensity 100; d 2.554, intensity 33; d 2.488, intensity 18; d 1.468, intensity 12; d 2.248, intensity 9; d 1.413, intensity 8; d 4.955, intensity 8; d 2.185, intensity 8; d 2.070, intensity 7; d 2.283, intensity 6

Crystal structure
a b c (Å): 10.8189 5.1098 10.7886
angles (deg): 76.65 27.36 75.99
Element x y z (fractional)
Li1 0.0762 0.4238 0.0907
Li2 0.1593 0.8407 0.1738
Li3 0.4238 0.0762 0.4093
Li4 0.8407 0.1593 0.8262
Cr1 0.2253 0.2253 0.2747
Cr2 0.9753 0.9753 0.0247
Si1 0.2386 0.6612 0.4308
Si2 0.5806 0.8192 0.5888
Si3 0.6612 0.2386 0.6694
Si4 0.8192 0.5806 0.0114
O1 0.0328 0.4922 0.7148
O2 0.1661 0.6284 0.3549
O3 0.2280 0.9748 0.4529
O4 0.3993 0.8951 0.6216
O5 0.4898 0.5352 0.7578
O6 0.4922 0.0328 0.7602
O7 0.5352 0.4898 0.2172
O8 0.6284 0.1661 0.8507
O9 0.7971 0.9057 0.0220
O10 0.8951 0.3993 0.0839
O11 0.9057 0.7971 0.2752
O12 0.9748 0.2280 0.3443

2.
# Li2CrSi3O8
Simulated powder diffractogram, Cu Kα (λ = 1.5418 Å). Input: a DFT-relaxed cell (GGA+U, the Materials Project).
Intensities are scaled so that the largest is 100.

Main lines, in order of falling intensity (10 to 80 degrees two-theta):
d 4.613, intensity 100; d 3.883, intensity 86; d 3.291, intensity 63; d 4.067, intensity 56; d 3.504, intensity 49; d 2.806, intensity 42; d 3.451, intensity 38; d 2.648, intensity 32; d 3.046, intensity 26; d 6.216, intensity 23

Crystal structure
a b c (Å): 6.6396 8.1330 7.0110
angles (deg): 90.00 110.57 90.00
Element x y z (fractional)
Li1 0.1074 0.0000 0.0713
Li2 0.3038 0.5209 0.7415
Li3 0.6962 0.0209 0.2585
Li4 0.8926 0.5000 0.9287
Cr1 0.4838 0.6812 0.1400
Cr2 0.5162 0.1812 0.8600
Si1 0.0940 0.2256 0.4411
Si2 0.2713 0.8619 0.4556
Si3 0.3070 0.3426 0.1576
Si4 0.6930 0.8426 0.8424
Si5 0.7287 0.3619 0.5444
Si6 0.9060 0.7256 0.5589
O1 0.0938 0.3196 0.2309
O2 0.1232 0.0295 0.4029
O3 0.1587 0.7292 0.5678
O4 0.2566 0.4972 0.0003
O5 0.2632 0.2969 0.6465
O6 0.2755 0.8039 0.2399
O7 0.3651 0.1654 0.0801
O8 0.4982 0.9102 0.6343
O9 0.5018 0.4102 0.3657
O10 0.6349 0.6654 0.9199
O11 0.7245 0.3039 0.7601
O12 0.7368 0.7969 0.3535
O13 0.7434 0.9972 0.9997
O14 0.8413 0.2292 0.4322
O15 0.8768 0.5295 0.5971
O16 0.9062 0.8196 0.7691